This entry pairs a crystal structure of Cs2CrGeF6 with its computed X-ray powder pattern. Radiation: CuKα. Structure: a cell relaxed with GGA+U.

Atomic structure:
```
Cs2CrGeF6
1.0
-3.1089 3.1089 4.7044
3.1089 -3.1089 4.7044
3.1089 3.1089 -4.7044
Cs Cr Ge F
2 1 1 6
Direct
0.2500 0.7500 0.5000
0.7500 0.2500 0.5000
0.0000 0.0000 0.0000
0.5000 0.5000 0.0000
0.2340 0.2340 0.4679
0.2340 0.7660 0.0000
0.2670 0.2670 0.0000
0.7330 0.7330 0.0000
0.7660 0.2340 0.0000
0.7660 0.7660 0.5321
```

Top 10 peaks for 10° ≤ 2θ ≤ 80°, in order of rising 2θ:
2θ (°)  d/Å  Rel. int.
27.8  3.212  100
28.7  3.109  46
34.6  2.594  28
38.3  2.352  22
41.1  2.198  35
48.5  1.876  21
50.3  1.814  38
57.4  1.606  24
66.9  1.399  12
72.9  1.297  11